Structure and theoretical powder diffraction line list of SrCrF4 (a structure optimized by DFT (GGA+U); a wavelength of 1.5418 Å).
Lines closer than 0.1° are merged.

Structure:
Cell: 6.965 6.965 6.965 Å, 133.13 130.08 70.88°
Fractional positions:
Sr (0.000, 0.000, 0.000)
Sr (0.500, 0.500, 0.000)
Cr (0.250, 0.750, 0.500)
Cr (0.750, 0.250, 0.500)
F (0.074, 0.546, 0.874)
F (0.171, 0.046, 0.472)
F (0.329, 0.800, 0.874)
F (0.426, 0.300, 0.472)
F (0.574, 0.700, 0.528)
F (0.671, 0.200, 0.126)
F (0.829, 0.954, 0.528)
F (0.926, 0.454, 0.126)

Principal peaks in the range 2θ = 10–90°, in order of rising 2θ:
2θ 27.13, d 3.287, rel. 100
2θ 32.32, d 2.770, rel. 7
2θ 44.38, d 2.041, rel. 26
2θ 44.97, d 2.016, rel. 19
2θ 45.78, d 1.982, rel. 19
2θ 52.07, d 1.757, rel. 15
2θ 53.51, d 1.712, rel. 14
2θ 54.54, d 1.683, rel. 14
2θ 55.96, d 1.643, rel. 7
2θ 71.37, d 1.322, rel. 6